Computed powder X-ray diffraction pattern of InFeTeO6 for a wavelength of 1.5418 Å, from DFT lattice parameters and positions (PBE+U).
Neutral-atom scattering factors, no anomalous dispersion.

Main lines, low angle first (10° ≤ 2θ ≤ 80°):
h k l, 2theta, I (rel.)
1 0 1, 20.80, 13
1 1 0, 26.24, 100
1 0 3, 34.31, 71
2 0 0, 37.45, 20
2 1 3, 51.70, 63
2 2 0, 54.01, 16
0 0 6, 59.33, 7
3 1 0, 61.01, 14
3 0 3, 65.56, 19
1 1 6, 65.98, 14
2 0 6, 72.30, 7
3 2 3, 78.02, 11

Crystal structure
Cell: 4.8023 4.8023 9.3461 Å, 90.00 90.00 90.00°
Fractional coordinates of all 18 atoms:
In 0.0000 0.0000 0.0000
In 0.5000 0.5000 0.5000
Fe 0.0000 0.0000 0.3351
Fe 0.5000 0.5000 0.8351
Te 0.0000 0.0000 0.6670
Te 0.5000 0.5000 0.1670
O 0.1784 0.1784 0.4992
O 0.1949 0.1949 0.8164
O 0.2060 0.2060 0.1729
O 0.2940 0.7060 0.6729
O 0.3051 0.6949 0.3164
O 0.3216 0.6784 0.9992
O 0.6784 0.3216 0.9992
O 0.6949 0.3051 0.3164
O 0.7060 0.2940 0.6729
O 0.7940 0.7940 0.1729
O 0.8051 0.8051 0.8164
O 0.8216 0.8216 0.4992